# 1
The following is a simulated powder XRD pattern of Ca2La15Ho2. It was derived from a GGA-PBE-relaxed structure, using Cu Ka.

Structural model:
Unit cell a=9.077 b=9.077 c=9.077 alpha=80.96 beta=80.96 gamma=80.96
Fractional coordinates of all 19 atoms:
Ca: 0.171 0.171 0.171
Ca: 0.829 0.829 0.829
La: 0.000 0.500 0.500
La: 0.138 0.138 0.648
La: 0.138 0.648 0.138
La: 0.208 0.500 0.792
La: 0.208 0.792 0.500
La: 0.352 0.862 0.862
La: 0.500 0.000 0.500
La: 0.500 0.208 0.792
La: 0.500 0.500 0.000
La: 0.500 0.792 0.208
La: 0.648 0.138 0.138
La: 0.792 0.208 0.500
La: 0.792 0.500 0.208
La: 0.862 0.352 0.862
La: 0.862 0.862 0.352
Ho: 0.405 0.405 0.405
Ho: 0.595 0.595 0.595

Main lines, sorted by position (10° ≤ 2θ ≤ 90°):
| 2θ (°) | Rel. int. |
| --- | --- |
| 15.0 | 24.1 |
| 26.2 | 20.4 |
| 26.4 | 29.8 |
| 29.7 | 24.6 |
| 30.2 | 71.7 |
| 30.3 | 98.9 |
| 33.5 | 37.7 |
| 33.9 | 100.0 |
| 53.1 | 16.4 |
| 53.9 | 38.0 |

=====

# 2
The following is a simulated powder XRD pattern of Tb3SmTe. It was derived from a GGA-PBE-relaxed structure, using Cu Ka.

Structural model:
Unit cell a=10.939 b=3.900 c=14.597 alpha=90.00 beta=90.00 gamma=90.00
Fractional coordinates of all 20 atoms:
Tb: 0.065 0.250 0.085
Tb: 0.072 0.750 0.297
Tb: 0.184 0.750 0.708
Tb: 0.316 0.250 0.208
Tb: 0.428 0.250 0.797
Tb: 0.435 0.750 0.585
Tb: 0.565 0.250 0.415
Tb: 0.572 0.750 0.203
Tb: 0.684 0.750 0.792
Tb: 0.816 0.250 0.292
Tb: 0.928 0.250 0.703
Tb: 0.935 0.750 0.915
Sm: 0.167 0.250 0.501
Sm: 0.333 0.750 0.001
Sm: 0.667 0.250 0.999
Sm: 0.833 0.750 0.499
Te: 0.155 0.250 0.877
Te: 0.345 0.750 0.377
Te: 0.655 0.250 0.623
Te: 0.845 0.750 0.123

Main lines, sorted by position (10° ≤ 2θ ≤ 90°):
| 2θ (°) | Rel. int. |
| --- | --- |
| 30.5 | 78.9 |
| 30.7 | 100.0 |
| 31.7 | 58.7 |
| 33.3 | 47.1 |
| 33.7 | 37.3 |
| 34.8 | 23.1 |
| 35.9 | 26.9 |
| 46.6 | 27.0 |
| 57.5 | 22.5 |
| 58.5 | 18.9 |

=====

# 3
The following is a simulated powder XRD pattern of La4Pm5Pr. It was derived from a GGA-PBE-relaxed structure, using Cu Ka.

Structural model:
Unit cell a=10.687 b=10.687 c=6.147 alpha=90.00 beta=90.00 gamma=90.00
Fractional coordinates of all 20 atoms:
La: 0.049 0.750 0.131
La: 0.250 0.549 0.869
La: 0.250 0.951 0.869
La: 0.451 0.750 0.131
La: 0.549 0.250 0.869
La: 0.750 0.049 0.131
La: 0.750 0.451 0.131
La: 0.951 0.250 0.869
Pm: 0.089 0.089 0.344
Pm: 0.089 0.411 0.344
Pm: 0.250 0.750 0.500
Pm: 0.411 0.089 0.344
Pm: 0.411 0.411 0.344
Pm: 0.589 0.589 0.656
Pm: 0.589 0.911 0.656
Pm: 0.750 0.250 0.500
Pm: 0.911 0.589 0.656
Pm: 0.911 0.911 0.656
Pr: 0.250 0.250 0.837
Pr: 0.750 0.750 0.163

Main lines, sorted by position (10° ≤ 2θ ≤ 90°):
| 2θ (°) | Rel. int. |
| --- | --- |
| 27.7 | 22.8 |
| 29.0 | 100.0 |
| 30.2 | 79.7 |
| 35.6 | 31.4 |
| 37.7 | 14.2 |
| 51.3 | 15.9 |
| 52.1 | 30.0 |
| 56.6 | 14.0 |
| 60.0 | 18.1 |
| 68.6 | 19.4 |

=====

# 4
The following is a simulated powder XRD pattern of Rb2TbZrS4. It was derived from a GGA-PBE-relaxed structure, using Cu Ka.

Structural model:
Unit cell a=6.859 b=3.926 c=8.036 alpha=90.00 beta=106.25 gamma=90.00
Fractional coordinates of all 8 atoms:
Rb: 0.000 0.000 0.000
Rb: 0.500 0.500 0.000
Tb: 0.000 0.500 0.500
Zr: 0.500 0.000 0.500
S: 0.244 0.000 0.694
S: 0.281 0.500 0.310
S: 0.719 0.500 0.690
S: 0.756 0.000 0.306

Main lines, sorted by position (10° ≤ 2θ ≤ 90°):
| 2θ (°) | Rel. int. |
| --- | --- |
| 11.5 | 18.7 |
| 23.1 | 23.2 |
| 27.1 | 13.0 |
| 27.3 | 25.3 |
| 30.4 | 100.0 |
| 40.7 | 12.4 |
| 41.0 | 24.4 |
| 45.9 | 21.3 |
| 47.5 | 15.0 |
| 56.3 | 11.1 |

=====

# 5
The following is a simulated powder XRD pattern of CdMoRh. It was derived from a GGA-PBE-relaxed structure, using Cu Ka.

Structural model:
Unit cell a=2.870 b=2.870 c=12.217 alpha=90.00 beta=90.00 gamma=90.00
Fractional coordinates of all 6 atoms:
Cd: 0.250 0.250 0.103
Cd: 0.750 0.750 0.897
Mo: 0.250 0.250 0.414
Mo: 0.750 0.750 0.586
Rh: 0.250 0.250 0.729
Rh: 0.750 0.750 0.271

Main lines, sorted by position (10° ≤ 2θ ≤ 90°):
| 2θ (°) | Rel. int. |
| --- | --- |
| 38.4 | 100.0 |
| 43.3 | 4.6 |
| 44.5 | 11.5 |
| 44.7 | 35.8 |
| 64.9 | 14.4 |
| 65.0 | 11.3 |
| 77.8 | 4.4 |
| 78.1 | 23.8 |
| 82.2 | 7.4 |
| 86.6 | 4.4 |

=====

# 6
The following is a simulated powder XRD pattern of CrBiRu. It was derived from a GGA-PBE-relaxed structure, using Cu Ka.

Structural model:
Unit cell a=4.028 b=4.028 c=8.580 alpha=90.00 beta=90.00 gamma=120.00
Fractional coordinates of all 6 atoms:
Cr: 0.333 0.667 0.437
Cr: 0.667 0.333 0.563
Bi: 0.333 0.667 0.831
Bi: 0.667 0.333 0.169
Ru: 0.000 0.000 0.355
Ru: 0.000 0.000 0.645

Main lines, sorted by position (10° ≤ 2θ ≤ 90°):
| 2θ (°) | Rel. int. |
| --- | --- |
| 27.6 | 100.0 |
| 33.1 | 81.6 |
| 40.8 | 60.7 |
| 45.0 | 66.3 |
| 53.6 | 17.0 |
| 57.0 | 17.4 |
| 60.1 | 16.7 |
| 62.4 | 17.2 |
| 75.4 | 15.5 |
| 80.2 | 16.9 |